Diffraction record for Ce2CN2O2. The powder diffraction line list is calculated, not measured: it uses a DFT-relaxed cell (GGA-PBE, Alexandria) and CuKα.
Peak positions follow from Bragg's law for the DFT cell and can differ from measured ones.

Most intense lines, 2θ = 10–90°, most intense first:
2θ/deg	d_spacing	I (rel.)	hkl
28.38	3.145	100	0 1 1
10.59	8.352	45	0 0 1
34.03	2.634	41	1 0 2
46.33	1.960	30	1 1 0
51.37	1.779	24	0 1 4
41.97	2.153	21	0 1 3
57.51	1.603	20	1 1 3
32.15	2.784	17	0 0 3
21.28	4.176	17	0 0 2
26.25	3.395	16	1 0 0

Structural model:
```
data_Ce2CN2O2
_chemical_formula_sum 'Ce2 C1 N2 O2'
_cell_length_a 3.9198
_cell_length_b 3.9198
_cell_length_c 8.3525
_cell_angle_alpha 90.00
_cell_angle_beta 90.00
_cell_angle_gamma 120.00
_symmetry_space_group_name_H-M 'P -3 m 1'
_symmetry_Int_Tables_number 164
_symmetry_space_group_name_Hall '-P 3 2"'
loop_
_atom_site_label
_atom_site_type_symbol
_atom_site_fract_x
_atom_site_fract_y
_atom_site_fract_z
Ce1 Ce 0.3333 0.6667 0.3219
C1 C 0.0000 0.0000 0.0000
N1 N 0.0000 0.0000 0.1482
O1 O 0.3333 0.6667 0.6043
```